Diffraction record for P3Ru. The powder XRD pattern is theoretical, not measured: it uses a crystal structure in the Materials Project, relaxed with PBE and Cu Kα X-rays.
Peak positions follow from Bragg's law for the DFT cell and can differ from measured ones.

Most intense lines, 10 to 90 degrees two-theta, in order of falling intensity:
- 2θ 32.79, I = 100
- 2θ 30.64, I = 72
- 2θ 24.99, I = 41
- 2θ 17.19, I = 31
- 2θ 42.83, I = 30
- 2θ 22.99, I = 29
- 2θ 50.48, I = 29
- 2θ 25.53, I = 28

Crystal structure
```
data_P3Ru
_chemical_formula_sum 'P12 Ru4'
_cell_length_a 5.9242
_cell_length_b 5.9769
_cell_length_c 8.1461
_cell_angle_alpha 68.68
_cell_angle_beta 70.25
_cell_angle_gamma 72.60
_symmetry_space_group_name_H-M 'P -1'
_symmetry_Int_Tables_number 2
loop_
_symmetry_equiv_pos_as_xyz
'x,y,z'
'-x,-y,-z'
loop_
_atom_site_label
_atom_site_type_symbol
_atom_site_fract_x
_atom_site_fract_y
_atom_site_fract_z
P1 P 0.1524 0.3171 0.4147
P2 P 0.1704 0.9177 0.1813
P3 P 0.1930 0.5286 0.9478
P4 P 0.3179 0.9472 0.5589
P5 P 0.3219 0.3363 0.7344
P6 P 0.3398 0.2174 0.1576
Ru1 Ru 0.2276 0.9305 0.8720
Ru2 Ru 0.2769 0.6339 0.4560
```



Diffraction record for CrInCoS4. The powder XRD pattern is theoretical, not measured: it uses a crystal structure in the Materials Project, relaxed with PBE and Cu Kα X-rays.
Peak positions follow from Bragg's law for the DFT cell and can differ from measured ones.

Most intense lines, 10 to 90 degrees two-theta, in order of falling intensity:
- 2θ 28.74, I = 100
- 2θ 50.16, I = 58
- 2θ 34.93, I = 38
- 2θ 14.97, I = 25
- 2θ 46.00, I = 23
- 2θ 28.90, I = 21
- 2θ 34.83, I = 19
- 2θ 45.79, I = 17

Crystal structure
```
data_CrInCoS4
_chemical_formula_sum 'Cr4 In4 Co4 S16'
_cell_length_a 7.2264
_cell_length_b 7.3044
_cell_length_c 10.3034
_cell_angle_alpha 90.00
_cell_angle_beta 90.00
_cell_angle_gamma 90.00
_symmetry_space_group_name_H-M 'I m m a'
_symmetry_Int_Tables_number 74
_symmetry_space_group_name_Hall '-I 2b 2'
loop_
_atom_site_label
_atom_site_type_symbol
_atom_site_fract_x
_atom_site_fract_y
_atom_site_fract_z
Cr1 Cr 0.2500 0.2500 0.2500
In1 In 0.0000 0.0000 0.0000
Co1 Co 0.0000 0.2500 0.6257
S1 S 0.0000 0.0214 0.2542
S2 S 0.2447 0.2500 0.4870
```



Diffraction record for SrFe5N4. The powder XRD pattern is theoretical, not measured: it uses a crystal structure in the Materials Project, relaxed with PBE and Cu Kα X-rays.
Peak positions follow from Bragg's law for the DFT cell and can differ from measured ones.

Most intense lines, 10 to 90 degrees two-theta, in order of falling intensity:
- 2θ 36.57, I = 100
- 2θ 38.64, I = 98
- 2θ 37.14, I = 85
- 2θ 65.20, I = 56
- 2θ 56.49, I = 34
- 2θ 40.98, I = 32
- 2θ 27.37, I = 26
- 2θ 76.54, I = 21

Crystal structure
```
data_SrFe5N4
_chemical_formula_sum 'Sr2 Fe10 N8'
_cell_length_a 5.7747
_cell_length_b 8.8818
_cell_length_c 4.4048
_cell_angle_alpha 90.00
_cell_angle_beta 90.00
_cell_angle_gamma 90.00
_symmetry_space_group_name_H-M 'P m m n'
_symmetry_Int_Tables_number 59
loop_
_symmetry_equiv_pos_as_xyz
'x,y,z'
'-x,-y,-z'
'-x+1/2,-y+1/2,z'
'x+1/2,y+1/2,-z'
'x+1/2,-y,-z'
'-x+1/2,y,z'
'-x,y+1/2,-z'
'x,-y+1/2,z'
loop_
_atom_site_label
_atom_site_type_symbol
_atom_site_fract_x
_atom_site_fract_y
_atom_site_fract_z
Sr1 Sr 0.2500 0.2500 0.1885
Fe1 Fe 0.0049 0.5558 0.2457
Fe2 Fe 0.2500 0.7500 0.6116
N1 N 0.0121 0.7500 0.3430
N2 N 0.2500 0.5456 0.9474
```